Starting from a DFT-relaxed cell (PBE, Alexandria), the X-ray powder pattern of OsPtBr2 was calculated for a wavelength of 1.5418 Å.
Neutral-atom scattering factors, no anomalous dispersion.

Peak list (8 most intense, 2θ = 10–90°, low angle first)
2theta, I_rel, index
14.1, 100, 2 0 0
32.3, 11, 1 1 -1
34.0, 39, 1 1 1
36.8, 19, 3 1 -1
40.2, 16, 2 0 -2
41.2, 30, 3 1 1
45.9, 25, 5 1 -1
52.0, 13, 0 2 0

Atomic structure:
Cell: 12.784 3.514 4.557 Å, 90.00 100.84 90.00°
Space group C2/m (No. 12)
Inequivalent atoms, fractional coordinates:
Os1 0.000 0.000 0.000 (multiplicity 2)
Pt1 0.000 0.500 0.500 (multiplicity 2)
Br1 0.136 0.500 0.187 (multiplicity 4)

Starting from a DFT-relaxed cell (PBE, Alexandria), the X-ray powder pattern of LiMo3 was calculated for a wavelength of 1.5418 Å.
Neutral-atom scattering factors, no anomalous dispersion.

Peak list (8 most intense, 2θ = 10–90°, low angle first)
2theta, I_rel, index
17.3, 24, 1 1 0
19.8, 16, 2 0 0
40.3, 26, 4 0 0
40.8, 100, 2 2 1
41.4, 25, 0 0 2
59.1, 24, 4 0 2
73.7, 17, 6 2 1
75.1, 16, 2 2 3

Atomic structure:
Cell: 8.948 6.246 4.367 Å, 90.00 90.00 90.00°
Space group Cmcm (No. 63)
Inequivalent atoms, fractional coordinates:
Li1 0.000 0.119 0.250 (multiplicity 4)
Mo1 0.000 0.386 0.750 (multiplicity 4)
Mo2 0.248 0.135 0.750 (multiplicity 8)